The following is a calculated powder diffraction line list of La2Ni4GeP3. It was derived from DFT lattice parameters and positions (PBE), using copper Kα.
Neutral-atom scattering factors, no anomalous dispersion.

Structural model:
```
data_La2Ni4GeP3
_chemical_formula_sum 'La2 Ni4 Ge1 P3'
_cell_length_a 4.0270
_cell_length_b 4.0270
_cell_length_c 9.8249
_cell_angle_alpha 90.00
_cell_angle_beta 90.00
_cell_angle_gamma 90.00
_symmetry_space_group_name_H-M 'P 4 m m'
_symmetry_Int_Tables_number 99
loop_
_symmetry_equiv_pos_as_xyz
'x,y,z'
'-y,x,z'
'-x,-y,z'
'y,-x,z'
'-x,y,z'
'y,x,z'
'x,-y,z'
'-y,-x,z'
loop_
_atom_site_label
_atom_site_type_symbol
_atom_site_fract_x
_atom_site_fract_y
_atom_site_fract_z
La1 La 0.0000 0.0000 0.0000
La2 La 0.5000 0.5000 0.4880
Ni1 Ni 0.0000 0.5000 0.2425
Ni2 Ni 0.0000 0.5000 0.7563
Ge1 Ge 0.0000 0.0000 0.6245
P1 P 0.0000 0.0000 0.3619
P2 P 0.5000 0.5000 0.1279
P3 P 0.5000 0.5000 0.8655
```

Largest 6 diffraction maxima, low angle first, 10° ≤ 2θ ≤ 90°:
2θ (°)	intensity	h k l
23.88	28	1 0 1
35.33	65	1 0 3
36.47	100	1 1 2
45.02	49	2 0 0
58.49	29	2 1 3
77.44	25	3 1 2